1.
Simulated X-ray powder pattern
Compound: K16Tl22Pd
Radiation: copper Kα
Structure: a cell relaxed with GGA-PBE
Lines closer than 0.1° are merged.

Structural model:
a = 18.3438 Å, b = 18.3438 Å, c = 18.3438 Å
α = 32.20°, β = 32.20°, γ = 32.20°
Sites, in units of the cell vectors:
K1 0.0782 0.3992 0.8401
K2 0.1036 0.6484 0.4380
K3 0.1599 0.6008 0.9218
K4 0.1715 0.1715 0.1715
K5 0.3273 0.3273 0.3273
K6 0.3516 0.8964 0.5620
K7 0.3992 0.8401 0.0782
K8 0.4380 0.1036 0.6484
K9 0.5620 0.3516 0.8964
K10 0.6008 0.9218 0.1599
K11 0.6484 0.4380 0.1036
K12 0.6727 0.6727 0.6727
K13 0.8285 0.8285 0.8285
K14 0.8401 0.0782 0.3992
K15 0.8964 0.5620 0.3516
K16 0.9218 0.1599 0.6008
Tl1 0.0000 0.7285 0.2715
Tl2 0.0254 0.3160 0.7529
Tl3 0.0551 0.0551 0.0551
Tl4 0.1623 0.7654 0.4790
Tl5 0.2346 0.8377 0.5210
Tl6 0.2471 0.6840 0.9746
Tl7 0.2715 0.0000 0.7285
Tl8 0.2830 0.5000 0.7170
Tl9 0.3160 0.7529 0.0254
Tl10 0.4481 0.4481 0.4481
Tl11 0.4790 0.1623 0.7654
Tl12 0.5000 0.7170 0.2830
Tl13 0.5210 0.2346 0.8377
Tl14 0.5519 0.5519 0.5519
Tl15 0.6840 0.9746 0.2471
Tl16 0.7170 0.2830 0.5000
Tl17 0.7285 0.2715 0.0000
Tl18 0.7529 0.0254 0.3160
Tl19 0.7654 0.4790 0.1623
Tl20 0.8377 0.5210 0.2346
Tl21 0.9449 0.9449 0.9449
Tl22 0.9746 0.2471 0.6840
Pd1 0.0000 0.0000 0.0000

Principal peaks in the range 2θ = 10–90°, low angle first:
- 2θ = 10.18°, rel. 53
- 2θ = 10.60°, rel. 100
- 2θ = 12.12°, rel. 30
- 2θ = 30.43°, rel. 59
- 2θ = 31.17°, rel. 77
- 2θ = 35.67°, rel. 24
- 2θ = 36.94°, rel. 22
- 2θ = 41.12°, rel. 21

---

2.
Simulated X-ray powder pattern
Compound: KTl3Pd5
Radiation: copper Kα
Structure: a cell relaxed with GGA-PBE
Lines closer than 0.1° are merged.

Structural model:
a = 7.4589 Å, b = 7.4589 Å, c = 12.9179 Å
α = 90.00°, β = 90.00°, γ = 146.00°
Sites, in units of the cell vectors:
K1 0.2232 0.7768 0.7500
K2 0.7768 0.2232 0.2500
Tl1 0.0777 0.9223 0.2500
Tl2 0.3786 0.6214 0.0774
Tl3 0.3786 0.6214 0.4226
Tl4 0.6214 0.3786 0.5774
Tl5 0.6214 0.3786 0.9226
Tl6 0.9223 0.0777 0.7500
Pd1 0.0000 0.0000 0.0000
Pd2 0.0000 0.0000 0.5000
Pd3 0.1890 0.8110 0.0520
Pd4 0.1890 0.8110 0.4480
Pd5 0.4349 0.5651 0.6273
Pd6 0.4349 0.5651 0.8727
Pd7 0.5651 0.4349 0.1273
Pd8 0.5651 0.4349 0.3727
Pd9 0.8110 0.1890 0.5520
Pd10 0.8110 0.1890 0.9480

Principal peaks in the range 2θ = 10–90°, low angle first:
- 2θ = 13.71°, rel. 43
- 2θ = 29.82°, rel. 44
- 2θ = 35.14°, rel. 100
- 2θ = 37.67°, rel. 39
- 2θ = 40.27°, rel. 58
- 2θ = 41.10°, rel. 43
- 2θ = 41.40°, rel. 58
- 2θ = 43.33°, rel. 46

---

3.
Simulated X-ray powder pattern
Compound: K2Tl5Pd5
Radiation: copper Kα
Structure: a cell relaxed with GGA-PBE
Lines closer than 0.1° are merged.

Structural model:
a = 4.5139 Å, b = 5.9507 Å, c = 10.9851 Å
α = 90.00°, β = 90.00°, γ = 90.00°
Sites, in units of the cell vectors:
K1 0.0000 0.0000 0.0000
K2 0.0000 0.5000 0.5000
Tl1 0.0000 0.0000 0.3029
Tl2 0.0000 0.0000 0.6971
Tl3 0.0000 0.5000 0.1593
Tl4 0.0000 0.5000 0.8407
Tl5 0.5000 0.0000 0.5000
Pd1 0.5000 0.2553 0.2374
Pd2 0.5000 0.2553 0.7626
Pd3 0.5000 0.5000 0.0000
Pd4 0.5000 0.7447 0.2374
Pd5 0.5000 0.7447 0.7626

Principal peaks in the range 2θ = 10–90°, low angle first:
- 2θ = 16.14°, rel. 36
- 2θ = 16.95°, rel. 76
- 2θ = 34.97°, rel. 100
- 2θ = 36.16°, rel. 37
- 2θ = 38.37°, rel. 20
- 2θ = 39.83°, rel. 73
- 2θ = 39.95°, rel. 37
- 2θ = 56.57°, rel. 26

---

4.
Simulated X-ray powder pattern
Compound: KTl4Pd2
Radiation: copper Kα
Structure: a cell relaxed with GGA-PBE
Lines closer than 0.1° are merged.

Structural model:
a = 19.6839 Å, b = 4.9066 Å, c = 7.4184 Å
α = 90.00°, β = 90.00°, γ = 90.00°
Sites, in units of the cell vectors:
K1 0.1403 0.2500 0.0099
K2 0.3597 0.7500 0.5099
K3 0.6403 0.2500 0.4901
K4 0.8597 0.7500 0.9901
Tl1 0.0324 0.7500 0.8528
Tl2 0.0720 0.2500 0.4964
Tl3 0.1823 0.7500 0.3032
Tl4 0.1939 0.7500 0.7292
Tl5 0.3061 0.2500 0.2292
Tl6 0.3177 0.2500 0.8032
Tl7 0.4280 0.7500 0.9964
Tl8 0.4676 0.2500 0.3528
Tl9 0.5324 0.7500 0.6472
Tl10 0.5720 0.2500 0.0036
Tl11 0.6823 0.7500 0.1968
Tl12 0.6939 0.7500 0.7708
Tl13 0.8061 0.2500 0.2708
Tl14 0.8177 0.2500 0.6968
Tl15 0.9280 0.7500 0.5036
Tl16 0.9676 0.2500 0.1472
Pd1 0.0377 0.7500 0.2550
Pd2 0.2155 0.2500 0.5258
Pd3 0.2845 0.7500 0.0258
Pd4 0.4623 0.2500 0.7550
Pd5 0.5377 0.7500 0.2450
Pd6 0.7155 0.2500 0.9742
Pd7 0.7845 0.7500 0.4742
Pd8 0.9623 0.2500 0.7450

Principal peaks in the range 2θ = 10–90°, low angle first:
- 2θ = 18.04°, rel. 20
- 2θ = 25.65°, rel. 28
- 2θ = 31.56°, rel. 100
- 2θ = 36.54°, rel. 29
- 2θ = 36.63°, rel. 46
- 2θ = 41.09°, rel. 63
- 2θ = 59.45°, rel. 25
- 2θ = 62.79°, rel. 23

---

5.
Simulated X-ray powder pattern
Compound: KTl3Pd
Radiation: copper Kα
Structure: a cell relaxed with GGA-PBE
Lines closer than 0.1° are merged.

Structural model:
a = 9.3354 Å, b = 4.8775 Å, c = 12.7479 Å
α = 90.00°, β = 90.00°, γ = 90.00°
Sites, in units of the cell vectors:
K1 0.1852 0.2500 0.0030
K2 0.3148 0.7500 0.5030
K3 0.6852 0.2500 0.4970
K4 0.8148 0.7500 0.9970
Tl1 0.0602 0.2500 0.5807
Tl2 0.1195 0.7500 0.7961
Tl3 0.1421 0.7500 0.2146
Tl4 0.3579 0.2500 0.7146
Tl5 0.3805 0.2500 0.2961
Tl6 0.4398 0.7500 0.0807
Tl7 0.5602 0.2500 0.9193
Tl8 0.6195 0.7500 0.7039
Tl9 0.6421 0.7500 0.2854
Tl10 0.8579 0.2500 0.7854
Tl11 0.8805 0.2500 0.2039
Tl12 0.9398 0.7500 0.4193
Pd1 0.0938 0.2500 0.3561
Pd2 0.4062 0.7500 0.8561
Pd3 0.5938 0.2500 0.1439
Pd4 0.9062 0.7500 0.6439

Principal peaks in the range 2θ = 10–90°, low angle first:
- 2θ = 11.75°, rel. 43
- 2θ = 13.89°, rel. 43
- 2θ = 29.49°, rel. 59
- 2θ = 29.98°, rel. 100
- 2θ = 34.93°, rel. 46
- 2θ = 36.53°, rel. 33
- 2θ = 36.86°, rel. 46
- 2θ = 38.87°, rel. 35

---

6.
Simulated X-ray powder pattern
Compound: K2Tl4Pd3
Radiation: copper Kα
Structure: a cell relaxed with GGA-PBE
Lines closer than 0.1° are merged.

Structural model:
a = 8.9779 Å, b = 7.9134 Å, c = 6.0121 Å
α = 78.99°, β = 59.91°, γ = 41.10°
Sites, in units of the cell vectors:
K1 0.1173 0.1173 0.8827
K2 0.8827 0.8827 0.1173
Tl1 0.1791 0.5059 0.4941
Tl2 0.4941 0.8209 0.1791
Tl3 0.5059 0.1791 0.8209
Tl4 0.8209 0.4941 0.5059
Pd1 0.0000 0.0000 0.5000
Pd2 0.5000 0.5000 0.0000
Pd3 0.5000 0.5000 0.5000

Principal peaks in the range 2θ = 10–90°, low angle first:
- 2θ = 17.04°, rel. 23
- 2θ = 18.06°, rel. 40
- 2θ = 29.64°, rel. 24
- 2θ = 35.07°, rel. 100
- 2θ = 36.61°, rel. 34
- 2θ = 36.85°, rel. 25
- 2θ = 42.60°, rel. 25
- 2θ = 56.17°, rel. 26

---

7.
Simulated X-ray powder pattern
Compound: K2Tl4Pd3
Radiation: copper Kα
Structure: a cell relaxed with GGA-PBE
Lines closer than 0.1° are merged.

Structural model:
a = 9.1536 Å, b = 9.1536 Å, c = 8.7324 Å
α = 90.00°, β = 90.00°, γ = 140.82°
Sites, in units of the cell vectors:
K1 0.1060 0.8940 0.8855
K2 0.3940 0.6060 0.3855
K3 0.6060 0.3940 0.6145
K4 0.8940 0.1060 0.1145
Tl1 0.1837 0.3163 0.7500
Tl2 0.1933 0.8067 0.5164
Tl3 0.3067 0.6933 0.0164
Tl4 0.3163 0.1837 0.2500
Tl5 0.6837 0.8163 0.7500
Tl6 0.6933 0.3067 0.9836
Tl7 0.8067 0.1933 0.4836
Tl8 0.8163 0.6837 0.2500
Pd1 0.0000 0.0000 0.5000
Pd2 0.0203 0.4797 0.7500
Pd3 0.4797 0.0203 0.2500
Pd4 0.5000 0.5000 0.0000
Pd5 0.5203 0.9797 0.7500
Pd6 0.9797 0.5203 0.2500

Principal peaks in the range 2θ = 10–90°, low angle first:
- 2θ = 14.44°, rel. 50
- 2θ = 18.40°, rel. 32
- 2θ = 31.46°, rel. 69
- 2θ = 32.62°, rel. 37
- 2θ = 35.76°, rel. 100
- 2θ = 37.45°, rel. 54
- 2θ = 41.36°, rel. 27
- 2θ = 43.12°, rel. 26

---

8.
Simulated X-ray powder pattern
Compound: K3Tl6Pd5
Radiation: copper Kα
Structure: a cell relaxed with GGA-PBE
Lines closer than 0.1° are merged.

Structural model:
a = 4.7280 Å, b = 14.5386 Å, c = 10.2445 Å
α = 90.00°, β = 90.00°, γ = 90.00°
Sites, in units of the cell vectors:
K1 0.2500 0.0513 0.2475
K2 0.2500 0.4487 0.2475
K3 0.2500 0.7500 0.2662
K4 0.7500 0.2500 0.7338
K5 0.7500 0.5513 0.7525
K6 0.7500 0.9487 0.7525
Tl1 0.2500 0.0658 0.5892
Tl2 0.2500 0.2500 0.0355
Tl3 0.2500 0.2500 0.4039
Tl4 0.2500 0.4342 0.5892
Tl5 0.2500 0.5939 0.9762
Tl6 0.2500 0.9061 0.9762
Tl7 0.7500 0.0939 0.0238
Tl8 0.7500 0.4061 0.0238
Tl9 0.7500 0.5658 0.4108
Tl10 0.7500 0.7500 0.5961
Tl11 0.7500 0.7500 0.9645
Tl12 0.7500 0.9342 0.4108
Pd1 0.2500 0.0907 0.8682
Pd2 0.2500 0.4093 0.8682
Pd3 0.2500 0.6404 0.5497
Pd4 0.2500 0.7500 0.7848
Pd5 0.2500 0.8596 0.5497
Pd6 0.7500 0.1404 0.4503
Pd7 0.7500 0.2500 0.2152
Pd8 0.7500 0.3596 0.4503
Pd9 0.7500 0.5907 0.1318
Pd10 0.7500 0.9093 0.1318

Principal peaks in the range 2θ = 10–90°, low angle first:
- 2θ = 17.31°, rel. 98
- 2θ = 27.76°, rel. 52
- 2θ = 31.69°, rel. 100
- 2θ = 34.67°, rel. 82
- 2θ = 37.10°, rel. 51
- 2θ = 37.39°, rel. 79
- 2θ = 38.07°, rel. 98
- 2θ = 40.50°, rel. 53

---

9.
Simulated X-ray powder pattern
Compound: KTl11Pd5
Radiation: copper Kα
Structure: a cell relaxed with GGA-PBE
Lines closer than 0.1° are merged.

Structural model:
a = 8.5441 Å, b = 8.5441 Å, c = 6.7914 Å
α = 104.27°, β = 104.27°, γ = 101.67°
Sites, in units of the cell vectors:
K1 0.0000 0.0000 0.0000
Tl1 0.0000 0.0000 0.5000
Tl2 0.1491 0.6397 0.7251
Tl3 0.1921 0.4407 0.1034
Tl4 0.3131 0.3131 0.5685
Tl5 0.3603 0.8509 0.2749
Tl6 0.4407 0.1921 0.1034
Tl7 0.5593 0.8079 0.8966
Tl8 0.6397 0.1491 0.7251
Tl9 0.6869 0.6869 0.4315
Tl10 0.8079 0.5593 0.8966
Tl11 0.8509 0.3603 0.2749
Pd1 0.0493 0.6897 0.3163
Pd2 0.3103 0.9507 0.6837
Pd3 0.5000 0.5000 0.0000
Pd4 0.6897 0.0493 0.3163
Pd5 0.9507 0.3103 0.6837

Principal peaks in the range 2θ = 10–90°, low angle first:
- 2θ = 27.17°, rel. 36
- 2θ = 27.76°, rel. 29
- 2θ = 30.54°, rel. 35
- 2θ = 31.65°, rel. 61
- 2θ = 32.54°, rel. 100
- 2θ = 36.37°, rel. 42
- 2θ = 40.93°, rel. 34
- 2θ = 45.70°, rel. 27

---

10.
Simulated X-ray powder pattern
Compound: KTl8Pd4
Radiation: copper Kα
Structure: a cell relaxed with GGA-PBE
Lines closer than 0.1° are merged.

Structural model:
a = 7.8022 Å, b = 7.8022 Å, c = 7.8022 Å
α = 98.63°, β = 98.63°, γ = 134.42°
Sites, in units of the cell vectors:
K1 0.0000 0.0000 0.0000
Tl1 0.0000 0.3366 0.3366
Tl2 0.0000 0.6634 0.6634
Tl3 0.2793 0.5000 0.7793
Tl4 0.3366 0.0000 0.3366
Tl5 0.5000 0.2793 0.7793
Tl6 0.5000 0.7207 0.2207
Tl7 0.6634 0.0000 0.6634
Tl8 0.7207 0.5000 0.2207
Pd1 0.0000 0.0000 0.5000
Pd2 0.0000 0.5000 0.0000
Pd3 0.5000 0.0000 0.0000
Pd4 0.5000 0.5000 0.5000

Principal peaks in the range 2θ = 10–90°, low angle first:
- 2θ = 29.56°, rel. 33
- 2θ = 30.22°, rel. 36
- 2θ = 35.10°, rel. 81
- 2θ = 35.29°, rel. 52
- 2θ = 38.93°, rel. 100
- 2θ = 39.45°, rel. 49
- 2θ = 39.62°, rel. 33
- 2θ = 63.22°, rel. 32

---

11.
Simulated X-ray powder pattern
Compound: K3Pm3ReS8
Radiation: copper Kα
Structure: a cell relaxed with GGA-PBE
Lines closer than 0.1° are merged.

Structural model:
a = 8.8425 Å, b = 8.8425 Å, c = 8.8425 Å
α = 54.06°, β = 54.06°, γ = 54.06°
Sites, in units of the cell vectors:
K1 0.0000 0.5000 0.5000
K2 0.5000 0.0000 0.5000
K3 0.5000 0.5000 0.0000
Pm1 0.0000 0.0000 0.5000
Pm2 0.0000 0.5000 0.0000
Pm3 0.5000 0.0000 0.0000
Re1 0.5000 0.5000 0.5000
S1 0.2359 0.2359 0.2359
S2 0.2668 0.7109 0.7109
S3 0.2891 0.2891 0.7332
S4 0.2891 0.7332 0.2891
S5 0.7109 0.2668 0.7109
S6 0.7109 0.7109 0.2668
S7 0.7332 0.2891 0.2891
S8 0.7641 0.7641 0.7641

Principal peaks in the range 2θ = 10–90°, low angle first:
- 2θ = 11.76°, rel. 100
- 2θ = 25.91°, rel. 30
- 2θ = 26.81°, rel. 31
- 2θ = 30.17°, rel. 90
- 2θ = 38.04°, rel. 24
- 2θ = 41.18°, rel. 32
- 2θ = 45.13°, rel. 29
- 2θ = 46.80°, rel. 19